The following is a simulated powder XRD pattern of Fe3P2O16. It was derived from the PBE+U geometry in the Materials Project, using λ = 1.5418 Å (Cu Kα).

Cell and atoms:
```
Fe3P2O16
1.0
5.443 -5.721 0.000
5.443 5.721 0.000
-1.708 0.000 4.444
Fe P O
3 2 16
Cartesian
0.000 0.000 0.000
5.443 1.480 0.000
5.443 -1.480 0.000
3.009 0.000 1.444
6.169 0.000 3.000
4.676 4.036 1.017
3.551 3.173 3.218
1.499 0.000 1.160
4.503 4.036 3.427
3.669 1.274 0.867
5.627 3.173 1.226
3.120 0.000 3.042
3.669 -1.274 0.867
5.509 1.274 3.577
6.058 0.000 1.402
3.551 -3.173 3.218
5.509 -1.274 3.577
4.676 -4.036 1.017
7.679 0.000 3.284
5.627 -3.173 1.226
4.503 -4.036 3.427
```

The 8 most intense peaks (5 to 70 degrees two-theta), by angle:
d (Å)	Position (°2θ)	I_rel
7.598	11.6	22
5.721	15.5	31
5.081	17.5	100
4.444	20.0	30
4.382	20.3	20
4.167	21.3	26
2.972	30.1	42
2.873	31.1	21